YCo3F15: theoretical powder X-ray diffraction pattern (λ = 1.5418 Å (Cu Kα)), based on a DFT-relaxed cell (PBE+U, the Materials Project).
No peak broadening, texture or thermal motion is included.

Main lines, sorted by position (5 to 70 degrees two-theta):
| index | 2θ/deg | d [Å] | I/Imax |
| --- | --- | --- | --- |
| 0 1 1 | 12.51 | 7.073 | 26.6 |
| 0 2 0 | 15.41 | 5.751 | 17.5 |
| 1 0 -1 | 16.22 | 5.465 | 11.0 |
| 1 2 -1 | 22.44 | 3.961 | 100.0 |
| 0 2 2 | 25.20 | 3.533 | 10.3 |
| 1 1 2 | 30.22 | 2.957 | 8.5 |
| 1 2 2 | 33.16 | 2.702 | 9.1 |
| 1 4 -3 | 43.35 | 2.087 | 10.2 |
| 2 4 -2 | 45.81 | 1.981 | 15.2 |
| 1 6 -1 | 50.42 | 1.810 | 11.1 |

Structure:
Cell lengths 5.758, 11.501, 9.391 Å; angles 90.00, 107.22, 90.00 degrees
Space group P2_1/m (No. 11)
Unique sites:
1 Y 0.215 0.250 0.243 x2
2 Co 0.000 0.000 0.500 x2
3 Co 0.320 0.511 0.847 x4
4 F 0.011 0.114 0.328 x4
5 F 0.038 0.750 0.953 x2
6 F 0.077 0.063 0.879 x4
7 F 0.201 0.591 0.452 x4
8 F 0.255 0.068 0.642 x4
9 F 0.409 0.750 0.300 x2
10 F 0.420 0.588 0.047 x4
11 F 0.464 0.250 0.545 x2
12 F 0.490 0.120 0.223 x4